Diffraction record for Ho2AsS2. The powder X-ray diffraction pattern is calculated, not measured: it uses a DFT-relaxed cell (GGA-PBE, Alexandria) and Cu Kα (weighted mean of Kα1 and Kα2).
No peak broadening, texture or thermal motion is included.

Cell and atoms:
Cell: 9.4672 10.0205 6.4240 Å, 90.00 122.16 90.00°
Space group C2/c (No. 15)
Symmetry-distinct sites (fractional):
1 Ho 0.0000 0.0975 0.2500
2 Ho 0.0000 0.3305 0.7500
3 As 0.0000 0.3778 0.2500
4 S 0.1755 0.1043 0.0352

The 8 most intense peaks (2θ = 10–80°), sorted by position:
2θ/deg, d [Å], I/Imax, hkl
22.18, 4.007, 100, 2 0 0
24.15, 3.685, 65, 0 2 1
28.19, 3.165, 73, 2 0 -2
32.94, 2.719, 33, 0 0 2
36.32, 2.474, 35, 1 3 1
39.16, 2.301, 35, 4 0 -2
46.25, 1.963, 34, 2 4 -2
49.51, 1.841, 28, 2 0 2

Diffraction record for La4SnP2. The powder X-ray diffraction pattern is calculated, not measured: it uses a DFT-relaxed cell (GGA-PBE, Alexandria) and Cu Kα (weighted mean of Kα1 and Kα2).
No peak broadening, texture or thermal motion is included.

Cell and atoms:
Cell: 4.3426 13.9478 14.5523 Å, 90.00 90.00 90.00°
Space group Cmcm (No. 63)
Symmetry-distinct sites (fractional):
1 La 0.0000 0.0000 0.0000
2 La 0.0000 0.2689 0.1161
3 La 0.0000 0.4368 0.7500
4 Sn 0.0000 0.1078 0.7500
5 P 0.0000 0.3640 0.5604

The 8 most intense peaks (2θ = 10–80°), sorted by position:
2θ/deg, d [Å], I/Imax, hkl
27.66, 3.226, 84, 0 2 4
28.33, 3.150, 72, 1 1 3
28.79, 3.101, 100, 1 3 1
30.74, 2.909, 40, 1 3 2
37.76, 2.382, 26, 1 1 5
41.59, 2.171, 28, 2 0 0
50.68, 1.801, 32, 2 2 4
52.63, 1.739, 22, 1 3 7

Diffraction record for Li2Ac3BiO9. The powder X-ray diffraction pattern is calculated, not measured: it uses a DFT-relaxed cell (GGA-PBE, Alexandria) and Cu Kα (weighted mean of Kα1 and Kα2).
No peak broadening, texture or thermal motion is included.

Cell and atoms:
Cell: 5.7007 5.7007 7.2516 Å, 90.00 90.00 120.00°
Space group P-3m1 (No. 164)
Symmetry-distinct sites (fractional):
1 Li 0.3333 0.6667 0.1830
2 Ac 0.0000 0.0000 0.0000
3 Ac 0.3333 0.6667 0.7207
4 Bi 0.0000 0.0000 0.5000
5 O 0.0000 0.5000 0.0000
6 O 0.1648 0.3296 0.3187

The 8 most intense peaks (2θ = 10–80°), sorted by position:
2θ/deg, d [Å], I/Imax, hkl
17.97, 4.937, 19, 1 0 0
21.78, 4.081, 69, 1 0 1
30.59, 2.922, 100, 0 1 2
31.38, 2.850, 84, 1 1 0
38.53, 2.337, 30, 0 2 1
44.40, 2.040, 53, 2 0 2
55.37, 1.659, 40, 1 2 2
60.53, 1.530, 22, 1 1 4